[1]
Structure and computed X-ray diffraction stick pattern of CoCl2O2 (a crystal structure in the Materials Project, relaxed with GGA+U; copper Kα).

Most intense lines, 15° ≤ 2θ ≤ 90°, in order of rising 2θ:
h k l	two_theta	intensity
1 1 0	16.82	100
0 2 0	22.64	44
1 1 1	32.21	29
2 0 -1	33.92	32
2 0 1	38.45	25
2 2 -1	41.17	13
2 2 1	45.08	12
3 1 -1	45.20	16
0 4 0	46.23	16
1 1 -2	54.35	10

Atomic structure:
```
data_CoCl2O2
_space_group_name_H-M_alt 'C 1 2/m 1'
_space_group_IT_number 12
_cell_length_a 7.162
_cell_length_b 7.854
_cell_length_c 3.483
_cell_angle_alpha 90.00
_cell_angle_beta 96.93
_cell_angle_gamma 90.00
loop_
_space_group_symop_operation_xyz
'x,y,z'
'-x,-y,-z'
'-x,y,-z'
'x,-y,z'
'x+1/2,y+1/2,z'
'-x+1/2,-y+1/2,-z'
'-x+1/2,y+1/2,-z'
'x+1/2,-y+1/2,z'
loop_
_atom_site_label
_atom_site_type_symbol
_atom_site_fract_x
_atom_site_fract_y
_atom_site_fract_z
Co1 Co 0.000 0.000 0.000
Cl1 Cl 0.234 0.000 0.572
O1 O 0.000 0.208 0.000
```

[2]
Structure and computed X-ray diffraction stick pattern of Co2ClO3 (a crystal structure in the Materials Project, relaxed with GGA+U; copper Kα).

Most intense lines, 15° ≤ 2θ ≤ 90°, in order of rising 2θ:
h k l	two_theta	intensity
1 0 1	17.18	100
0 0 3	20.34	11
0 2 1	32.61	19
1 1 3	34.45	57
2 0 2	34.76	10
0 2 4	42.40	65
2 0 5	47.46	10
0 3 3	53.24	18
2 2 0	56.79	25
2 1 7	66.62	13

Atomic structure:
```
data_Co2ClO3
_space_group_name_H-M_alt 'R -3 m'
_space_group_IT_number 166
_space_group_name_Hall '-R 3 2"'
_cell_length_a 6.4847
_cell_length_b 6.4847
_cell_length_c 13.1006
_cell_angle_alpha 90.00
_cell_angle_beta 90.00
_cell_angle_gamma 120.00
loop_
_atom_site_label
_atom_site_type_symbol
_atom_site_fract_x
_atom_site_fract_y
_atom_site_fract_z
Co1 Co 0.0000 0.0000 0.0000
Co2 Co 0.0000 0.5000 0.5000
Cl1 Cl 0.0000 0.0000 0.2896
O1 O 0.0740 0.5370 0.7603
```

[3]
Structure and computed X-ray diffraction stick pattern of Co5Se4Cl2O12 (a crystal structure in the Materials Project, relaxed with GGA+U; copper Kα).

Most intense lines, 15° ≤ 2θ ≤ 90°, in order of rising 2θ:
h k l	two_theta	intensity
0 1 2	23.44	90
0 2 2	27.80	51
2 0 1	27.94	47
-1 1 2	31.01	51
0 2 -1	32.07	100
1 0 -2	32.24	46
2 0 2	32.88	67
2 2 1	33.37	77
0 3 2	36.35	63
-1 2 4	54.58	47

Atomic structure:
```
data_Co5Se4Cl2O12
_space_group_name_H-M_alt 'P -1'
_space_group_IT_number 2
_cell_length_a 6.579
_cell_length_b 7.874
_cell_length_c 8.010
_cell_angle_alpha 65.76
_cell_angle_beta 72.53
_cell_angle_gamma 81.07
loop_
_space_group_symop_operation_xyz
'x,y,z'
'-x,-y,-z'
loop_
_atom_site_label
_atom_site_type_symbol
_atom_site_fract_x
_atom_site_fract_y
_atom_site_fract_z
Co1 Co 0.000 0.000 0.000
Co2 Co 0.112 0.697 0.436
Co3 Co 0.320 0.873 0.657
Se1 Se 0.213 0.161 0.222
Se2 Se 0.348 0.308 0.676
Cl1 Cl 0.177 0.689 0.006
O1 O 0.036 0.803 0.639
O2 O 0.166 0.954 0.211
O3 O 0.168 0.414 0.536
O4 O 0.262 0.082 0.776
O5 O 0.360 0.098 0.386
O6 O 0.416 0.699 0.493
```

[4]
Structure and computed X-ray diffraction stick pattern of CoSeClO6 (a crystal structure in the Materials Project, relaxed with GGA+U; copper Kα).

Most intense lines, 15° ≤ 2θ ≤ 90°, in order of rising 2θ:
h k l	two_theta	intensity
0 1 1	15.88	48
1 1 1	16.34	86
1 0 1	16.89	71
1 -1 0	22.32	100
1 2 1	25.76	79
2 1 1	26.66	84
1 -1 1	26.78	31
0 0 2	27.67	57
1 2 0	29.54	38
0 3 1	40.67	32

Atomic structure:
```
data_CoSeClO6
_space_group_name_H-M_alt 'P -1'
_space_group_IT_number 2
_cell_length_a 6.765
_cell_length_b 7.067
_cell_length_c 7.494
_cell_angle_alpha 63.92
_cell_angle_beta 67.05
_cell_angle_gamma 70.45
loop_
_space_group_symop_operation_xyz
'x,y,z'
'-x,-y,-z'
loop_
_atom_site_label
_atom_site_type_symbol
_atom_site_fract_x
_atom_site_fract_y
_atom_site_fract_z
Co1 Co 0.000 0.000 0.000
Co2 Co 0.500 0.500 0.500
Se1 Se 0.213 0.203 0.513
Cl1 Cl 0.129 0.644 0.116
O1 O 0.119 0.988 0.727
O2 O 0.224 0.612 0.601
O3 O 0.240 0.046 0.993
O4 O 0.328 0.097 0.328
O5 O 0.426 0.222 0.584
O6 O 0.488 0.441 0.758
```

[5]
Structure and computed X-ray diffraction stick pattern of Co3Se4Cl2O10 (a crystal structure in the Materials Project, relaxed with GGA+U; copper Kα).

Most intense lines, 15° ≤ 2θ ≤ 90°, in order of rising 2θ:
h k l	two_theta	intensity
1 3 0	22.69	17
2 0 -1	25.00	52
0 4 0	25.34	29
2 2 -1	28.07	23
1 3 1	29.91	100
1 1 -2	30.89	15
2 0 -2	33.78	20
2 4 -1	35.89	37
0 6 0	38.38	20
3 3 0	42.59	20

Atomic structure:
```
data_Co3Se4Cl2O10
_space_group_name_H-M_alt 'C 1 2/m 1'
_space_group_IT_number 12
_cell_length_a 7.517
_cell_length_b 14.063
_cell_length_c 5.940
_cell_angle_alpha 90.00
_cell_angle_beta 108.19
_cell_angle_gamma 90.00
loop_
_space_group_symop_operation_xyz
'x,y,z'
'-x,-y,-z'
'-x,y,-z'
'x,-y,z'
'x+1/2,y+1/2,z'
'-x+1/2,-y+1/2,-z'
'-x+1/2,y+1/2,-z'
'x+1/2,-y+1/2,z'
loop_
_atom_site_label
_atom_site_type_symbol
_atom_site_fract_x
_atom_site_fract_y
_atom_site_fract_z
Co1 Co 0.000 0.000 0.000
Co2 Co 0.000 0.128 0.500
Se1 Se 0.156 0.340 0.775
Cl1 Cl 0.203 0.000 0.747
O1 O 0.000 0.389 0.500
O2 O 0.139 0.108 0.237
O3 O 0.186 0.225 0.714
```

[6]
Structure and computed X-ray diffraction stick pattern of SmCoSe2ClO6 (a crystal structure in the Materials Project, relaxed with GGA+U; copper Kα).

Most intense lines, 15° ≤ 2θ ≤ 90°, in order of rising 2θ:
h k l	two_theta	intensity
1 1 -1	18.84	25
-1 1 3	25.64	55
-1 2 2	26.35	41
2 -2 0	28.03	53
1 2 -2	28.36	68
2 -1 1	28.60	21
1 -1 3	29.16	100
0 2 2	29.34	25
2 -3 1	35.28	19
-3 3 3	45.96	29

Atomic structure:
```
data_SmCoSe2ClO6
_space_group_name_H-M_alt 'P -1'
_space_group_IT_number 2
_cell_length_a 7.247
_cell_length_b 9.039
_cell_length_c 12.102
_cell_angle_alpha 97.50
_cell_angle_beta 105.53
_cell_angle_gamma 107.96
loop_
_space_group_symop_operation_xyz
'x,y,z'
'-x,-y,-z'
loop_
_atom_site_label
_atom_site_type_symbol
_atom_site_fract_x
_atom_site_fract_y
_atom_site_fract_z
Sm1 Sm 0.167 0.381 0.435
Sm2 Sm 0.182 0.903 0.936
Co1 Co 0.079 0.616 0.156
Co2 Co 0.095 0.098 0.652
Se1 Se 0.243 0.014 0.250
Se2 Se 0.267 0.604 0.742
Se3 Se 0.464 0.733 0.409
Se4 Se 0.481 0.253 0.922
Cl1 Cl 0.128 0.377 0.050
Cl2 Cl 0.159 0.890 0.532
O1 O 0.097 0.497 0.602
O2 O 0.101 0.827 0.263
O3 O 0.112 0.017 0.108
O4 O 0.123 0.726 0.758
O5 O 0.131 0.114 0.328
O6 O 0.209 0.486 0.836
O7 O 0.269 0.570 0.305
O8 O 0.279 0.096 0.817
O9 O 0.309 0.778 0.106
O10 O 0.311 0.281 0.612
O11 O 0.472 0.640 0.526
O12 O 0.486 0.151 0.035
```

[7]
Structure and computed X-ray diffraction stick pattern of Sr2CoSe2Cl2O6 (a crystal structure in the Materials Project, relaxed with GGA+U; copper Kα).

Most intense lines, 15° ≤ 2θ ≤ 90°, in order of rising 2θ:
h k l	two_theta	intensity
0 1 2	19.66	14
0 2 0	27.39	25
1 1 2	29.69	100
1 1 -4	30.90	95
0 1 4	31.68	20
2 0 -2	33.07	66
0 2 3	34.91	23
2 2 -2	43.46	19
0 2 6	52.00	19
3 1 0	56.27	16

Atomic structure:
```
data_Sr2CoSe2Cl2O6
_space_group_name_H-M_alt 'P 1 21/c 1'
_space_group_IT_number 14
_cell_length_a 5.425
_cell_length_b 6.512
_cell_length_c 13.421
_cell_angle_alpha 90.00
_cell_angle_beta 110.92
_cell_angle_gamma 90.00
loop_
_space_group_symop_operation_xyz
'x,y,z'
'-x,-y,-z'
'-x,y+1/2,-z+1/2'
'x,-y+1/2,z+1/2'
loop_
_atom_site_label
_atom_site_type_symbol
_atom_site_fract_x
_atom_site_fract_y
_atom_site_fract_z
Sr1 Sr 0.221 0.201 0.234
Co1 Co 0.500 0.000 0.000
Se1 Se 0.080 0.737 0.075
Cl1 Cl 0.440 0.674 0.894
O1 O 0.117 0.077 0.894
O2 O 0.119 0.572 0.178
O3 O 0.376 0.624 0.621
```